Entry 1:
Calculated powder diffraction line list
Compound: TmVO4
Radiation: Cu Kα
Structure: DFT lattice parameters and positions (GGA+U)
Peak positions follow from Bragg's law for the DFT cell and can differ from measured ones.

Principal peaks in the range 2θ from 10° to 80°, by angle:
| 2θ/deg | I/Imax |
| --- | --- |
| 18.8 | 47 |
| 25.0 | 100 |
| 31.5 | 16 |
| 33.6 | 73 |
| 35.7 | 22 |
| 49.8 | 60 |
| 51.3 | 16 |
| 62.7 | 17 |

Atomic structure:
```
12
Lattice="-3.5606 3.5606 3.1508 3.5606 -3.5606 3.1508 3.5606 3.5606 -3.1508" Properties=species:S:1:pos:R:3 pbc="T T T"
Tm 3.5606 1.7803 0.7877
Tm 0.0000 1.7803 2.3631
V 3.5606 -1.7803 2.3631
V 0.0000 5.3408 0.7877
O 3.5606 -0.4508 1.2426
O 3.5606 3.1098 -1.2426
O 1.3295 1.7803 0.3328
O 2.2310 -1.7803 3.4836
O 1.3295 5.3408 -0.3328
O 2.2310 1.7803 2.8180
O 0.0000 0.4508 4.3934
O 0.0000 4.0113 1.9082
```



Entry 2:
Calculated powder diffraction line list
Compound: Li10Fe3Sb7O24
Radiation: Cu Kα
Structure: DFT lattice parameters and positions (GGA+U)
Peak positions follow from Bragg's law for the DFT cell and can differ from measured ones.

Principal peaks in the range 2θ from 10° to 80°, by angle:
| 2θ/deg | I/Imax |
| --- | --- |
| 18.9 | 100 |
| 19.0 | 94 |
| 31.2 | 46 |
| 31.4 | 42 |
| 32.9 | 46 |
| 33.8 | 45 |
| 34.1 | 39 |
| 47.9 | 38 |

Atomic structure:
```
44
Lattice="5.2602 0.0000 0.0000 -0.1174 9.5931 0.0000 -0.0817 -0.0996 10.2152" Properties=species:S:1:pos:R:3 pbc="T T T"
Li 0.0000 0.0000 0.0000
Li -0.0644 2.7510 8.4673
Li 0.1594 0.0464 6.1625
Li 0.3790 4.3373 0.4285
Li 2.4119 4.2778 5.2654
Li 2.4974 1.9950 3.6241
Li 2.8272 0.1304 1.2521
Li 2.9664 9.5305 4.9407
Li 3.0995 6.6450 3.8360
Li 4.8969 6.3810 9.0044
Fe 0.1705 1.7085 2.8830
Fe 0.2312 4.8971 3.0410
Fe 2.4769 4.7685 8.0688
Sb -0.0092 6.5706 5.8590
Sb 0.3039 8.2499 3.0262
Sb 2.4732 7.9615 8.2536
Sb 2.6102 1.4284 8.0480
Sb 2.8828 6.5459 0.7986
Sb 3.0135 3.2713 0.7094
Sb 5.0466 3.1795 5.6641
O 0.5592 1.8365 6.8550
O 1.0853 4.7003 6.6552
O 1.1518 3.3035 4.2031
O 1.1635 6.6175 4.0022
O 1.1577 8.0521 6.7990
O 1.4194 0.1031 3.9159
O 1.5294 6.4249 9.3395
O 1.6086 3.4365 9.3701
O 1.5938 9.4970 9.2309
O 1.7755 7.9625 1.6301
O 1.9262 4.9343 1.5669
O 2.0352 1.9279 1.7036
O 3.4750 6.3940 7.5339
O 3.5980 9.3452 7.3668
O 3.7091 3.5439 7.1701
O 3.8047 4.9234 9.9670
O 3.7734 7.7895 9.8635
O 3.9156 1.8761 9.7141
O 4.0822 1.7889 4.6097
O 4.1639 4.7868 4.6981
O 4.2506 8.1001 4.5571
O 4.3043 6.5995 2.2127
O 4.6023 3.4142 1.8641
O 4.6220 9.5670 1.9092
```



Entry 3:
Calculated powder diffraction line list
Compound: NaTbMn4O12
Radiation: Cu Kα
Structure: DFT lattice parameters and positions (GGA+U)
Peak positions follow from Bragg's law for the DFT cell and can differ from measured ones.

Principal peaks in the range 2θ from 10° to 80°, by angle:
| 2θ/deg | I/Imax |
| --- | --- |
| 11.6 | 51 |
| 16.6 | 48 |
| 20.3 | 100 |
| 33.4 | 97 |
| 33.6 | 49 |
| 39.6 | 35 |
| 48.3 | 50 |
| 60.0 | 36 |

Atomic structure:
```
18
Lattice="5.3293 0.0000 0.0000 0.0000 5.3293 0.0000 0.0000 0.0000 7.6409" Properties=species:S:1:pos:R:3 pbc="T T T"
Na 0.0000 0.0000 0.0000
Tb 2.6646 2.6646 3.8205
Mn 0.0000 2.6646 1.8369
Mn 0.0000 2.6646 5.8040
Mn 2.6646 0.0000 1.8369
Mn 2.6646 0.0000 5.8040
O 0.0000 2.6646 0.0000
O 0.0000 2.6646 3.8205
O 1.3996 1.3996 2.0903
O 1.3996 1.3996 5.5506
O 1.3996 3.9297 2.0903
O 1.3996 3.9297 5.5506
O 2.6646 0.0000 0.0000
O 2.6646 0.0000 3.8205
O 3.9297 1.3996 2.0903
O 3.9297 1.3996 5.5506
O 3.9297 3.9297 2.0903
O 3.9297 3.9297 5.5506
```